Ba2GdSbO6: computed powder diffraction line list (Cu Kα (λ = 1.5418 Å)), based on DFT lattice parameters and positions (GGA-PBE).
Neutral-atom scattering factors, no anomalous dispersion.

Crystal structure
Cell: 8.5801 8.5801 8.5801 Å, 90.00 90.00 90.00°
Space group Fm-3m (No. 225)
Unique sites:
Ba1 0.2500 0.2500 0.2500
Gd1 0.0000 0.0000 0.0000
Sb1 0.0000 0.0000 0.5000
O1 0.0000 0.0000 0.2648

The 8 most intense peaks (5 to 70 degrees two-theta), low angle first:
2θ/deg  d [Å]  I/Imax  h k l
20.70  4.290  1  2 0 0
29.44  3.034  100  2 2 0
34.67  2.587  1  3 1 1
36.27  2.477  1  2 2 2
42.13  2.145  29  4 0 0
52.23  1.751  41  4 2 2
61.10  1.517  18  4 4 0
69.26  1.357  18  6 2 0